For Fe4As3O16, DFT lattice parameters and positions (PBE+U) gives the theoretical powder XRD pattern in this record (Cu Kα).

Structural model:
```
data_Fe4As3O16
_cell_length_a 7.9096
_cell_length_b 7.9096
_cell_length_c 7.9096
_cell_angle_alpha 90.00
_cell_angle_beta 90.00
_cell_angle_gamma 90.00
_space_group_name_H-M_alt 'P -4 3 m'
_space_group_IT_number 215
_space_group_name_Hall 'P -4 2 3'
loop_
_atom_site_label
_atom_site_fract_x
_atom_site_fract_y
_atom_site_fract_z
_atom_site_occupancy
Fe1 0.1358 0.1358 0.1358 1
As1 0.0000 0.0000 0.5000 1
O1 0.1151 0.1151 0.8849 1
O2 0.1272 0.1272 0.3772 1
```

Peak list (12 most intense, 2θ = 15–90°, by angle)
index	d/Å	I/Imax
1 1 1	4.567	100
2 0 0	3.955	32
2 1 1	3.229	47
2 2 0	2.796	35
3 0 0	2.637	26
3 1 0	2.501	37
3 1 1	2.385	67
4 2 0	1.769	20
4 3 0	1.582	24
3 3 3	1.522	23
4 4 0	1.398	29
5 3 1	1.337	15